# Cr3P4O16
Calculated powder diffraction line list, a wavelength of 1.5418 Å. Input: a GGA+U-relaxed structure.

Most intense lines, 10 to 80 degrees two-theta, sorted by position:
Position (°2θ)	Rel. int.
14.66	100
16.76	99
16.90	94
18.67	43
19.19	51
27.21	38
32.68	87
33.32	43

Crystal structure
Lattice parameters (Å, degrees): 10.0778 10.0778 10.7622 91.72 91.72 36.84
Fractional coordinates of all 46 atoms:
Cr1 0.0000 0.5000 0.0000
Cr2 0.1362 0.1720 0.2513
Cr3 0.1720 0.1362 0.7513
Cr4 0.5000 0.0000 0.5000
Cr5 0.8280 0.8638 0.2487
Cr6 0.8638 0.8280 0.7487
P1 0.0822 0.7469 0.0084
P2 0.2531 0.9178 0.4916
P3 0.2826 0.3152 0.2547
P4 0.3152 0.2826 0.7547
P5 0.6848 0.7174 0.2453
P6 0.7174 0.6848 0.7453
P7 0.7469 0.0822 0.5084
P8 0.9178 0.2531 0.9916
O1 0.0396 0.1328 0.1165
O2 0.0910 0.0933 0.8861
O3 0.0933 0.0910 0.3861
O4 0.1328 0.0396 0.6165
O5 0.1332 0.5530 0.2794
O6 0.1631 0.5358 0.0063
O7 0.1703 0.5168 0.7278
O8 0.1905 0.2910 0.1447
O9 0.2222 0.2648 0.8622
O10 0.2648 0.2222 0.3622
O11 0.2665 0.7012 0.0321
O12 0.2910 0.1905 0.6447
O13 0.2988 0.7335 0.4679
O14 0.4470 0.8668 0.2206
O15 0.4642 0.8369 0.4937
O16 0.4832 0.8297 0.7722
O17 0.5168 0.1703 0.2278
O18 0.5358 0.1631 0.5063
O19 0.5530 0.1332 0.7794
O20 0.7012 0.2665 0.5321
O21 0.7090 0.8095 0.3553
O22 0.7335 0.2988 0.9679
O23 0.7352 0.7778 0.6378
O24 0.7778 0.7352 0.1378
O25 0.8095 0.7090 0.8553
O26 0.8297 0.4832 0.2722
O27 0.8369 0.4642 0.9937
O28 0.8668 0.4470 0.7206
O29 0.8672 0.9604 0.3835
O30 0.9067 0.9090 0.6139
O31 0.9090 0.9067 0.1139
O32 0.9604 0.8672 0.8835

# VCoO4
Calculated powder diffraction line list, a wavelength of 1.5418 Å. Input: a GGA+U-relaxed structure.

Most intense lines, 10 to 80 degrees two-theta, sorted by position:
Position (°2θ)	Rel. int.
16.97	42
21.00	55
23.36	32
26.47	55
32.19	53
36.10	100
59.96	21
62.99	24

Crystal structure
Lattice parameters (Å, degrees): 10.4469 5.5618 4.6265 90.00 90.00 90.00
Fractional coordinates of all 24 atoms:
V1 0.0873 0.2500 0.0858
V2 0.4127 0.7500 0.5858
V3 0.5873 0.2500 0.4142
V4 0.9127 0.7500 0.9142
Co1 0.2386 0.7500 0.0176
Co2 0.2614 0.2500 0.5176
Co3 0.7386 0.7500 0.4824
Co4 0.7614 0.2500 0.9824
O1 0.0741 0.7500 0.8382
O2 0.1070 0.2500 0.7217
O3 0.1779 0.0113 0.2528
O4 0.1779 0.4887 0.2528
O5 0.3221 0.5113 0.7528
O6 0.3221 0.9887 0.7528
O7 0.3930 0.7500 0.2217
O8 0.4259 0.2500 0.3382
O9 0.5741 0.7500 0.6618
O10 0.6070 0.2500 0.7783
O11 0.6779 0.0113 0.2472
O12 0.6779 0.4887 0.2472
O13 0.8221 0.5113 0.7472
O14 0.8221 0.9887 0.7472
O15 0.8930 0.7500 0.2783
O16 0.9259 0.2500 0.1618

Please write out number 1 again, unchanged.
# Cr3P4O16
Calculated powder diffraction line list, a wavelength of 1.5418 Å. Input: a GGA+U-relaxed structure.

Most intense lines, 10 to 80 degrees two-theta, sorted by position:
Position (°2θ)	Rel. int.
14.66	100
16.76	99
16.90	94
18.67	43
19.19	51
27.21	38
32.68	87
33.32	43

Crystal structure
Lattice parameters (Å, degrees): 10.0778 10.0778 10.7622 91.72 91.72 36.84
Fractional coordinates of all 46 atoms:
Cr1 0.0000 0.5000 0.0000
Cr2 0.1362 0.1720 0.2513
Cr3 0.1720 0.1362 0.7513
Cr4 0.5000 0.0000 0.5000
Cr5 0.8280 0.8638 0.2487
Cr6 0.8638 0.8280 0.7487
P1 0.0822 0.7469 0.0084
P2 0.2531 0.9178 0.4916
P3 0.2826 0.3152 0.2547
P4 0.3152 0.2826 0.7547
P5 0.6848 0.7174 0.2453
P6 0.7174 0.6848 0.7453
P7 0.7469 0.0822 0.5084
P8 0.9178 0.2531 0.9916
O1 0.0396 0.1328 0.1165
O2 0.0910 0.0933 0.8861
O3 0.0933 0.0910 0.3861
O4 0.1328 0.0396 0.6165
O5 0.1332 0.5530 0.2794
O6 0.1631 0.5358 0.0063
O7 0.1703 0.5168 0.7278
O8 0.1905 0.2910 0.1447
O9 0.2222 0.2648 0.8622
O10 0.2648 0.2222 0.3622
O11 0.2665 0.7012 0.0321
O12 0.2910 0.1905 0.6447
O13 0.2988 0.7335 0.4679
O14 0.4470 0.8668 0.2206
O15 0.4642 0.8369 0.4937
O16 0.4832 0.8297 0.7722
O17 0.5168 0.1703 0.2278
O18 0.5358 0.1631 0.5063
O19 0.5530 0.1332 0.7794
O20 0.7012 0.2665 0.5321
O21 0.7090 0.8095 0.3553
O22 0.7335 0.2988 0.9679
O23 0.7352 0.7778 0.6378
O24 0.7778 0.7352 0.1378
O25 0.8095 0.7090 0.8553
O26 0.8297 0.4832 0.2722
O27 0.8369 0.4642 0.9937
O28 0.8668 0.4470 0.7206
O29 0.8672 0.9604 0.3835
O30 0.9067 0.9090 0.6139
O31 0.9090 0.9067 0.1139
O32 0.9604 0.8672 0.8835